No. 1
The following is a calculated powder diffraction line list of TlAs2AuSe4. It was derived from a GGA-PBE-relaxed structure, using Cu Ka.

a b c (Å): 6.025 6.916 11.398
angles (deg): 90.00 90.00 90.00
Space group I222 (No. 23)
Symmetry-distinct sites (fractional):
Tl 0.000 0.000 0.000
As 0.000 0.500 0.280
Au 0.000 0.000 0.500
Se 0.241 0.316 0.150

Largest 10 diffraction maxima, by angle, 2θ = 10–90°:
d (Å), I/Imax
4.543, 13
3.552, 100
2.956, 8
2.414, 11
2.271, 24
2.199, 17
2.070, 18
2.014, 17
1.827, 15
1.753, 9

=====

No. 2
The following is a calculated powder diffraction line list of Tl2AsAuSe4. It was derived from a GGA-PBE-relaxed structure, using Cu Ka.

a b c (Å): 10.904 8.321 7.587
angles (deg): 90.00 133.99 90.00
Space group C2 (No. 5)
Symmetry-distinct sites (fractional):
Tl 0.000 0.000 0.000
Tl 0.000 0.247 0.500
As 0.000 0.774 0.500
Au 0.000 0.621 0.000
Se 0.147 0.604 0.433
Se 0.216 0.924 0.854

Largest 10 diffraction maxima, by angle, 2θ = 10–90°:
d (Å), I/Imax
5.606, 19
3.923, 29
3.793, 28
3.308, 100
3.214, 42
2.727, 53
2.615, 23
2.170, 18
2.125, 31
2.084, 32